(1)
CrO: calculated X-ray diffraction stick pattern (Cu Kα (λ = 1.5418 Å)), based on a DFT-relaxed cell (PBE+U, the Materials Project).
Kinematic intensities with the Lorentz-polarization factor, no thermal factor.

Crystal structure
abc: 3.0303 16.6140 3.1473
angles: 90.00 111.60 90.00
Space group Pm (No. 6)
Unique sites:
1 Cr 0.0000 0.0000 0.0000
2 Cr 0.0978 0.5000 0.3437
3 Cr 0.5041 0.1655 0.5570
4 Cr 0.6010 0.3340 0.8134
5 O 0.0627 0.2491 0.7106
6 O 0.1140 0.4174 0.8527
7 O 0.9829 0.0825 0.4929

Principal peaks in the range 2θ from 10° to 90°, sorted by position:
(0 0 1), 2θ 30.55, intensity 30.1; (0 6 0), 2θ 32.33, intensity 48.3; (0 2 1), 2θ 32.44, intensity 39.6; (1 2 0), 2θ 33.59, intensity 71.5; (0 3 1), 2θ 34.67, intensity 100.0; (1 0 -1), 2θ 35.16, intensity 25.8; (1 4 0), 2θ 38.61, intensity 53.2; (1 6 0), 2θ 45.95, intensity 24.8; (1 6 -1), 2θ 48.50, intensity 66.7; (1 3 -2), 2θ 62.06, intensity 24.1

---

(2)
FeB2O4: calculated X-ray diffraction stick pattern (Cu Kα (λ = 1.5418 Å)), based on a DFT-relaxed cell (PBE+U, the Materials Project).
Kinematic intensities with the Lorentz-polarization factor, no thermal factor.

Crystal structure
abc: 7.2377 7.5347 8.7207
angles: 90.00 94.66 90.00
Space group P2_1/c (No. 14)
Unique sites:
1 Fe 0.0228 0.2343 0.3615
2 Fe 0.4687 0.2292 0.8923
3 B 0.1794 0.0966 0.1220
4 B 0.2005 0.6023 0.3850
5 B 0.3015 0.0644 0.6408
6 B 0.3190 0.5718 0.8586
7 O 0.0145 0.6603 0.4226
8 O 0.1822 0.5580 0.7239
9 O 0.1860 0.5646 0.2174
10 O 0.2638 0.0572 0.9750
11 O 0.2637 0.0672 0.4730
12 O 0.2677 0.2480 0.7030
13 O 0.3308 0.7503 0.4284
14 O 0.4968 0.0195 0.6934

Principal peaks in the range 2θ from 10° to 90°, sorted by position:
(0 2 0), 2θ 23.63, intensity 96.0; (2 1 -2), 2θ 33.17, intensity 100.0; (2 2 0), 2θ 34.42, intensity 75.9; (2 1 2), 2θ 35.66, intensity 50.4; (0 3 2), 2θ 41.54, intensity 40.7; (2 3 -2), 2θ 47.96, intensity 21.3; (0 4 0), 2θ 48.26, intensity 36.1; (0 2 4), 2θ 48.35, intensity 29.1; (2 3 2), 2θ 49.84, intensity 26.2; (4 0 0), 2θ 50.61, intensity 17.9

---

(3)
Na2CrAgF6: calculated X-ray diffraction stick pattern (Cu Kα (λ = 1.5418 Å)), based on a DFT-relaxed cell (PBE+U, the Materials Project).
Kinematic intensities with the Lorentz-polarization factor, no thermal factor.

Crystal structure
abc: 8.5427 8.5427 8.5427
angles: 90.00 90.00 90.00
Space group Fm-3m (No. 225)
Unique sites:
1 Na 0.2500 0.2500 0.2500
2 Cr 0.0000 0.0000 0.0000
3 Ag 0.0000 0.0000 0.5000
4 F 0.0000 0.0000 0.2252

Principal peaks in the range 2θ from 10° to 90°, sorted by position:
(2 0 0), 2θ 20.80, intensity 98.2; (2 2 0), 2θ 29.58, intensity 100.0; (3 1 1), 2θ 34.83, intensity 16.4; (4 0 0), 2θ 42.32, intensity 59.0; (4 2 0), 2θ 47.60, intensity 35.1; (4 2 2), 2θ 52.48, intensity 35.6; (4 4 0), 2θ 61.39, intensity 32.0; (6 0 0), 2θ 65.57, intensity 15.0; (6 2 0), 2θ 69.61, intensity 17.8; (6 4 2), 2θ 84.96, intensity 19.1

---

(4)
MgV2NiTe2O10: calculated X-ray diffraction stick pattern (Cu Kα (λ = 1.5418 Å)), based on a DFT-relaxed cell (PBE+U, the Materials Project).
Kinematic intensities with the Lorentz-polarization factor, no thermal factor.

Crystal structure
abc: 5.0797 6.4836 6.4962
angles: 79.65 75.15 77.68
Space group P1 (No. 1)
Unique sites:
1 Mg 0.0000 0.0000 0.0000
2 V 0.2622 0.6182 0.4017
3 V 0.7369 0.3811 0.5977
4 Ni 0.0037 0.4990 0.9972
5 Te 0.4489 0.1528 0.2686
6 Te 0.5516 0.8454 0.7327
7 O 0.1577 0.3339 0.4406
8 O 0.1751 0.7064 0.1479
9 O 0.2061 0.1928 0.0726
10 O 0.3288 0.8998 0.4440
11 O 0.3596 0.5343 0.6970
12 O 0.6387 0.4639 0.3040
13 O 0.6684 0.0996 0.5576
14 O 0.7976 0.8053 0.9260
15 O 0.8270 0.2937 0.8509
16 O 0.8411 0.6657 0.5577

Principal peaks in the range 2θ from 10° to 90°, sorted by position:
(1 0 0), 2θ 18.36, intensity 41.0; (0 1 1), 2θ 18.70, intensity 39.9; (1 1 0), 2θ 21.13, intensity 39.4; (0 1 -1), 2θ 21.39, intensity 41.4; (1 0 -1), 2θ 25.77, intensity 90.2; (-1 1 1), 2θ 30.15, intensity 68.9; (1 0 2), 2θ 30.43, intensity 100.0; (1 2 1), 2θ 30.75, intensity 82.4; (0 2 -1), 2θ 33.63, intensity 46.0; (-2 1 1), 2θ 47.13, intensity 39.2